Structure and calculated powder diffractogram of K3IrCl6 (the PBE geometry in the Materials Project; Cu Kα, 1.54184 Å).
Kinematic intensities with the Lorentz-polarization factor, no thermal factor.

Cell and atoms:
```
data_K3IrCl6
_cell_length_a 12.7465
_cell_length_b 7.5937
_cell_length_c 12.1258
_cell_angle_alpha 90.00
_cell_angle_beta 108.25
_cell_angle_gamma 90.00
_symmetry_space_group_name_H-M 'P 1 21/c 1'
_symmetry_Int_Tables_number 14
_symmetry_space_group_name_Hall '-P 2ybc'
loop_
_atom_site_label
_atom_site_type_symbol
_atom_site_fract_x
_atom_site_fract_y
_atom_site_fract_z
K1 K 0.0977 0.0398 0.3583
K2 K 0.3173 0.5692 0.2652
K3 K 0.3183 0.0657 0.1135
Ir1 Ir 0.0000 0.0000 0.0000
Ir2 Ir 0.5000 0.0000 0.5000
Cl1 Cl 0.0918 0.2440 0.5992
Cl2 Cl 0.1161 0.0019 0.8804
Cl3 Cl 0.1227 0.6860 0.6392
Cl4 Cl 0.3538 0.6911 0.0053
Cl5 Cl 0.3611 0.2035 0.3985
Cl6 Cl 0.4999 0.1292 0.6785
```

Principal peaks in the range 5° ≤ 2θ ≤ 70°, low angle first:
Position (°2θ), I_rel, hkl
14.6, 100, 1 1 -1
15.4, 23, 0 0 2
16.9, 50, 1 1 1
17.6, 17, 2 0 -2
24.0, 25, 3 1 -1
25.0, 30, 1 1 -3
28.2, 15, 3 1 1
34.1, 31, 2 2 2
37.4, 12, 4 2 -2
44.9, 16, 2 0 -6